Diffraction record for Dy2Tl2C. The PXRD pattern is theoretical, not measured: it uses the GGA-PBE geometry in Alexandria and Cu Kα (λ = 1.5418 Å).
Lines closer than 0.1° are merged.

Atomic structure:
a = 3.6021 Å, b = 3.6021 Å, c = 32.0744 Å
α = 90.00°, β = 90.00°, γ = 120.00°
Space group R-3m (No. 166, hexagonal axes)
Asymmetric unit:
1 Dy 0.0000 0.0000 0.1253 x6
2 Tl 0.0000 0.0000 0.3738 x6
3 C 0.0000 0.0000 0.5000 x3

Peak list (10 most intense, 15° ≤ 2θ ≤ 90°, by angle)
index	2θ (°)	I_rel
1 0 4	30.75	100
0 0 12	33.53	27
0 1 8	36.49	67
1 1 0	50.69	27
1 0 16	54.40	21
0 2 4	60.47	15
1 1 12	62.15	28
2 0 8	64.06	13
2 1 4	82.73	13
1 2 8	85.93	12

Diffraction record for Sc6Bi2P. The PXRD pattern is theoretical, not measured: it uses the GGA-PBE geometry in Alexandria and Cu Kα (λ = 1.5418 Å).
Lines closer than 0.1° are merged.

Atomic structure:
a = 6.347 Å, b = 6.347 Å, c = 12.852 Å
α = 90.00°, β = 90.00°, γ = 90.00°
Space group P4_2/mnm (No. 136)
Asymmetric unit:
1 Sc 0.193 0.193 0.136 x8
2 Sc 0.213 0.213 0.500 x4
3 Bi 0.000 0.000 0.321 x4
4 P 0.000 0.000 0.000 x2

Peak list (10 most intense, 15° ≤ 2θ ≤ 90°, by angle)
index	2θ (°)	I_rel
1 0 1	15.57	22
1 1 0	19.78	100
1 1 2	24.19	28
1 0 3	25.08	65
1 1 3	28.81	18
2 0 2	31.46	31
1 0 5	37.76	21
2 1 3	38.03	84
2 2 0	40.19	28
3 0 3	47.96	34